Theoretical powder X-ray diffraction pattern
Compound: LaSm3YHo
Radiation: Cu Kα, 1.54184 Å
Structure: a cell relaxed with GGA-PBE
Lines closer than 0.1° are merged.

Structure:
```
data_LaSm3YHo
_symmetry_space_group_name_H-M 'P 1 21/m 1'
_symmetry_Int_Tables_number 11
_symmetry_space_group_name_Hall '-P 2yb'
_cell_length_a 8.0864
_cell_length_b 5.1420
_cell_length_c 10.2515
_cell_angle_alpha 90.00
_cell_angle_beta 108.55
_cell_angle_gamma 90.00
loop_
_atom_site_label
_atom_site_fract_x
_atom_site_fract_y
_atom_site_fract_z
La1 0.1679 0.2500 0.2924
Sm1 0.1684 0.2500 0.7915
Sm2 0.1685 0.7500 0.0415
Sm3 0.1701 0.7500 0.5430
Y1 0.4978 0.7500 0.8751
Ho1 0.4998 0.2500 0.6258
```

The 8 most intense peaks (2θ from 10° to 90°), sorted by position:
30.20°, rel. 100; 34.90°, rel. 17; 35.01°, rel. 17; 35.12°, rel. 17; 50.36°, rel. 18; 59.69°, rel. 14; 59.84°, rel. 14; 59.98°, rel. 14